This entry pairs a crystal structure of MnVFe4Si2 with its computed powder diffraction line list. Radiation: Cu Kα (weighted mean of Kα1 and Kα2). Structure: a DFT-relaxed cell (GGA-PBE, the Materials Project).
Intensities are scaled so that the largest is 100.

Crystal structure
Unit cell a=6.864 b=6.864 c=6.864 alpha=33.63 beta=33.63 gamma=33.63
Sites, in units of the cell vectors:
Mn  0.000  0.000  0.000
V  0.500  0.500  0.500
Fe  0.127  0.127  0.127
Fe  0.377  0.377  0.377
Fe  0.623  0.623  0.623
Fe  0.873  0.873  0.873
Si  0.252  0.252  0.252
Si  0.748  0.748  0.748

The 8 most intense peaks (10 to 80 degrees two-theta), by angle:
2θ 27.53, intensity 4
2θ 31.90, intensity 5
2θ 45.73, intensity 100
2θ 54.19, intensity 1
2θ 56.80, intensity 1
2θ 66.67, intensity 15
2θ 75.76, intensity 1
2θ 75.87, intensity 1

This entry pairs a crystal structure of Sm2Mn2Fe15 with its computed powder diffraction line list. Radiation: Cu Kα (weighted mean of Kα1 and Kα2). Structure: a DFT-relaxed cell (GGA-PBE, the Materials Project).
Intensities are scaled so that the largest is 100.

Crystal structure
Unit cell a=6.391 b=6.391 c=6.391 alpha=82.97 beta=82.97 gamma=82.97
Sites, in units of the cell vectors:
Sm  0.153  0.153  0.153
Sm  0.847  0.847  0.847
Mn  0.404  0.404  0.404
Mn  0.596  0.596  0.596
Fe  0.000  0.500  0.500
Fe  0.161  0.161  0.652
Fe  0.161  0.652  0.161
Fe  0.212  0.500  0.788
Fe  0.212  0.788  0.500
Fe  0.348  0.839  0.839
Fe  0.500  0.000  0.500
Fe  0.500  0.212  0.788
Fe  0.500  0.500  0.000
Fe  0.500  0.788  0.212
Fe  0.652  0.161  0.161
Fe  0.788  0.212  0.500
Fe  0.788  0.500  0.212
Fe  0.839  0.348  0.839
Fe  0.839  0.839  0.348

The 10 most intense peaks (10 to 80 degrees two-theta), by angle:
2θ 30.28, intensity 40
2θ 36.77, intensity 40
2θ 38.10, intensity 30
2θ 42.72, intensity 64
2θ 43.04, intensity 100
2θ 43.95, intensity 53
2θ 48.35, intensity 21
2θ 62.25, intensity 18
2θ 62.96, intensity 29
2θ 78.22, intensity 16

This entry pairs a crystal structure of YMnFe with its computed powder diffraction line list. Radiation: Cu Kα (weighted mean of Kα1 and Kα2). Structure: a DFT-relaxed cell (GGA-PBE, the Materials Project).
Intensities are scaled so that the largest is 100.

Crystal structure
Unit cell a=5.152 b=5.152 c=5.152 alpha=120.71 beta=119.24 gamma=90.05
Sites, in units of the cell vectors:
Y  0.373  0.123  0.250
Y  0.627  0.877  0.750
Mn  0.000  0.500  0.500
Mn  0.500  0.500  0.000
Fe  0.000  0.000  0.500
Fe  0.000  0.500  0.000

The 10 most intense peaks (10 to 80 degrees two-theta), by angle:
2θ 34.42, intensity 24
2θ 34.83, intensity 88
2θ 40.82, intensity 100
2θ 41.02, intensity 53
2θ 41.19, intensity 46
2θ 41.35, intensity 98
2θ 42.67, intensity 38
2θ 43.34, intensity 39
2θ 66.39, intensity 22
2θ 73.55, intensity 45

This entry pairs a crystal structure of Y6Mn14Fe9 with its computed powder diffraction line list. Radiation: Cu Kα (weighted mean of Kα1 and Kα2). Structure: a DFT-relaxed cell (GGA-PBE, the Materials Project).
Intensities are scaled so that the largest is 100.

Crystal structure
Unit cell a=8.482 b=8.482 c=8.482 alpha=60.00 beta=60.00 gamma=60.00
Sites, in units of the cell vectors:
Y  0.206  0.206  0.794
Y  0.206  0.794  0.206
Y  0.206  0.794  0.794
Y  0.794  0.206  0.206
Y  0.794  0.206  0.794
Y  0.794  0.794  0.206
Mn  0.000  0.000  0.500
Mn  0.000  0.500  0.000
Mn  0.000  0.500  0.500
Mn  0.141  0.620  0.620
Mn  0.380  0.380  0.380
Mn  0.380  0.380  0.859
Mn  0.380  0.859  0.380
Mn  0.500  0.000  0.000
Mn  0.500  0.000  0.500
Mn  0.500  0.500  0.000
Mn  0.620  0.141  0.620
Mn  0.620  0.620  0.141
Mn  0.620  0.620  0.620
Mn  0.859  0.380  0.380
Fe  0.180  0.180  0.180
Fe  0.180  0.180  0.460
Fe  0.180  0.460  0.180
Fe  0.460  0.180  0.180
Fe  0.500  0.500  0.500
Fe  0.540  0.820  0.820
Fe  0.820  0.540  0.820
Fe  0.820  0.820  0.540
Fe  0.820  0.820  0.820

The 10 most intense peaks (10 to 80 degrees two-theta), by angle:
2θ 32.54, intensity 14
2θ 36.70, intensity 22
2θ 39.02, intensity 78
2θ 42.64, intensity 100
2θ 44.69, intensity 20
2θ 45.36, intensity 12
2θ 63.48, intensity 15
2θ 66.09, intensity 20
2θ 78.05, intensity 15
2θ 79.50, intensity 13

This entry pairs a crystal structure of Fe2Mo with its computed powder diffraction line list. Radiation: Cu Kα (weighted mean of Kα1 and Kα2). Structure: a DFT-relaxed cell (GGA-PBE, the Materials Project).
Intensities are scaled so that the largest is 100.

Crystal structure
Unit cell a=4.676 b=4.676 c=7.781 alpha=90.00 beta=90.00 gamma=120.00
Sites, in units of the cell vectors:
Fe  0.000  0.000  0.000
Fe  0.000  0.000  0.500
Fe  0.171  0.341  0.250
Fe  0.171  0.829  0.250
Fe  0.341  0.171  0.750
Fe  0.659  0.829  0.250
Fe  0.829  0.171  0.750
Fe  0.829  0.659  0.750
Mo  0.333  0.667  0.568
Mo  0.333  0.667  0.932
Mo  0.667  0.333  0.068
Mo  0.667  0.333  0.432

The 10 most intense peaks (10 to 80 degrees two-theta), by angle:
2θ 38.50, intensity 50
2θ 41.34, intensity 100
2θ 44.76, intensity 14
2θ 45.25, intensity 98
2θ 46.33, intensity 75
2θ 46.69, intensity 10
2θ 52.16, intensity 10
2θ 71.58, intensity 34
2θ 74.38, intensity 21
2θ 77.32, intensity 31

This entry pairs a crystal structure of Fe25Mo4 with its computed powder diffraction line list. Radiation: Cu Kα (weighted mean of Kα1 and Kα2). Structure: a DFT-relaxed cell (GGA-PBE, the Materials Project).
Intensities are scaled so that the largest is 100.

Crystal structure
Unit cell a=7.661 b=7.661 c=7.661 alpha=109.47 beta=109.47 gamma=109.47
Sites, in units of the cell vectors:
Fe  0.000  0.000  0.000
Fe  0.000  0.189  0.376
Fe  0.000  0.376  0.189
Fe  0.000  0.405  0.679
Fe  0.000  0.679  0.405
Fe  0.187  0.811  0.811
Fe  0.189  0.000  0.376
Fe  0.189  0.376  0.000
Fe  0.274  0.595  0.595
Fe  0.321  0.321  0.726
Fe  0.321  0.726  0.321
Fe  0.376  0.000  0.189
Fe  0.376  0.189  0.000
Fe  0.405  0.000  0.679
Fe  0.405  0.679  0.000
Fe  0.595  0.274  0.595
Fe  0.595  0.595  0.274
Fe  0.624  0.624  0.813
Fe  0.624  0.813  0.624
Fe  0.679  0.000  0.405
Fe  0.679  0.405  0.000
Fe  0.726  0.321  0.321
Fe  0.811  0.187  0.811
Fe  0.811  0.811  0.187
Fe  0.813  0.624  0.624
Mo  0.000  0.000  0.634
Mo  0.000  0.634  0.000
Mo  0.366  0.366  0.366
Mo  0.634  0.000  0.000

The 10 most intense peaks (10 to 80 degrees two-theta), by angle:
2θ 38.06, intensity 4
2θ 40.80, intensity 6
2θ 43.40, intensity 100
2θ 48.25, intensity 24
2θ 50.54, intensity 11
2θ 52.76, intensity 7
2θ 64.98, intensity 4
2θ 74.28, intensity 5
2θ 76.08, intensity 9
2θ 79.64, intensity 21

This entry pairs a crystal structure of Fe3Mo5N8 with its computed powder diffraction line list. Radiation: Cu Kα (weighted mean of Kα1 and Kα2). Structure: a DFT-relaxed cell (GGA-PBE, the Materials Project).
Intensities are scaled so that the largest is 100.

Crystal structure
Unit cell a=11.282 b=11.282 c=4.969 alpha=102.15 beta=102.15 gamma=14.58
Sites, in units of the cell vectors:
Fe  0.000  0.000  0.000
Fe  0.249  0.249  0.251
Fe  0.751  0.751  0.749
Mo  0.128  0.128  0.129
Mo  0.371  0.371  0.373
Mo  0.500  0.500  0.500
Mo  0.629  0.629  0.627
Mo  0.872  0.872  0.871
N  0.067  0.067  0.732
N  0.190  0.190  0.854
N  0.310  0.310  0.647
N  0.433  0.433  0.763
N  0.567  0.567  0.237
N  0.690  0.690  0.353
N  0.810  0.810  0.146
N  0.933  0.933  0.268

The 10 most intense peaks (10 to 80 degrees two-theta), by angle:
2θ 16.21, intensity 9
2θ 32.76, intensity 36
2θ 36.19, intensity 100
2θ 49.31, intensity 18
2θ 49.48, intensity 34
2θ 49.78, intensity 52
2θ 65.09, intensity 25
2θ 74.45, intensity 7
2θ 74.86, intensity 7
2θ 76.85, intensity 7

This entry pairs a crystal structure of Fe2Mo4N with its computed powder diffraction line list. Radiation: Cu Kα (weighted mean of Kα1 and Kα2). Structure: a DFT-relaxed cell (GGA-PBE, the Materials Project).
Intensities are scaled so that the largest is 100.

Crystal structure
Unit cell a=7.969 b=7.969 c=7.969 alpha=60.00 beta=60.00 gamma=60.00
Sites, in units of the cell vectors:
Fe  0.117  0.794  0.794
Fe  0.206  0.206  0.206
Fe  0.206  0.206  0.883
Fe  0.206  0.883  0.206
Fe  0.794  0.117  0.794
Fe  0.794  0.794  0.117
Fe  0.794  0.794  0.794
Fe  0.883  0.206  0.206
Mo  0.000  0.000  0.000
Mo  0.000  0.000  0.500
Mo  0.000  0.500  0.000
Mo  0.182  0.182  0.568
Mo  0.182  0.568  0.182
Mo  0.182  0.568  0.568
Mo  0.432  0.432  0.818
Mo  0.432  0.818  0.432
Mo  0.432  0.818  0.818
Mo  0.500  0.000  0.000
Mo  0.568  0.182  0.182
Mo  0.568  0.182  0.568
Mo  0.568  0.568  0.182
Mo  0.818  0.432  0.432
Mo  0.818  0.432  0.818
Mo  0.818  0.818  0.432
N  0.000  0.500  0.500
N  0.500  0.000  0.500
N  0.500  0.500  0.000
N  0.500  0.500  0.500

The 10 most intense peaks (10 to 80 degrees two-theta), by angle:
2θ 34.69, intensity 25
2θ 39.16, intensity 40
2θ 41.64, intensity 100
2θ 45.53, intensity 38
2θ 48.46, intensity 6
2θ 53.97, intensity 10
2θ 63.39, intensity 5
2θ 68.10, intensity 10
2θ 70.96, intensity 36
2θ 72.65, intensity 10

This entry pairs a crystal structure of FeNi3Mo6N2 with its computed powder diffraction line list. Radiation: Cu Kα (weighted mean of Kα1 and Kα2). Structure: a DFT-relaxed cell (GGA-PBE, the Materials Project).
Intensities are scaled so that the largest is 100.

Crystal structure
Unit cell a=6.666 b=6.670 c=6.675 alpha=90.00 beta=90.15 gamma=90.00
Sites, in units of the cell vectors:
Fe  0.179  0.000  0.430
Fe  0.821  0.500  0.570
Ni  0.066  0.245  0.682
Ni  0.318  0.361  0.933
Ni  0.434  0.113  0.185
Ni  0.566  0.613  0.815
Ni  0.682  0.861  0.067
Ni  0.934  0.745  0.318
Mo  0.050  0.054  0.047
Mo  0.127  0.378  0.296
Mo  0.200  0.631  0.622
Mo  0.299  0.726  0.123
Mo  0.374  0.977  0.799
Mo  0.457  0.307  0.551
Mo  0.543  0.807  0.449
Mo  0.626  0.477  0.201
Mo  0.701  0.226  0.877
Mo  0.800  0.131  0.378
Mo  0.873  0.878  0.704
Mo  0.950  0.554  0.953
N  0.125  0.802  0.875
N  0.375  0.553  0.374
N  0.625  0.053  0.626
N  0.875  0.302  0.125

The 10 most intense peaks (10 to 80 degrees two-theta), by angle:
2θ 29.96, intensity 7
2θ 40.57, intensity 100
2θ 42.87, intensity 52
2θ 42.93, intensity 5
2θ 45.07, intensity 22
2θ 58.70, intensity 5
2θ 72.14, intensity 8
2θ 72.24, intensity 14
2θ 76.91, intensity 8
2θ 77.02, intensity 10

This entry pairs a crystal structure of FeMo3PtN with its computed powder diffraction line list. Radiation: Cu Kα (weighted mean of Kα1 and Kα2). Structure: a DFT-relaxed cell (GGA-PBE, the Materials Project).
Intensities are scaled so that the largest is 100.

Crystal structure
Unit cell a=6.781 b=6.781 c=6.781 alpha=90.00 beta=90.00 gamma=90.00
Sites, in units of the cell vectors:
Fe  0.184  0.184  0.184
Fe  0.316  0.816  0.684
Fe  0.684  0.316  0.816
Fe  0.816  0.684  0.316
Mo  0.042  0.129  0.804
Mo  0.129  0.804  0.042
Mo  0.196  0.542  0.371
Mo  0.304  0.458  0.871
Mo  0.371  0.196  0.542
Mo  0.458  0.871  0.304
Mo  0.542  0.371  0.196
Mo  0.629  0.696  0.958
Mo  0.696  0.958  0.629
Mo  0.804  0.042  0.129
Mo  0.871  0.304  0.458
Mo  0.958  0.629  0.696
Pt  0.063  0.937  0.437
Pt  0.437  0.063  0.937
Pt  0.563  0.563  0.563
Pt  0.937  0.437  0.063
N  0.125  0.375  0.625
N  0.375  0.625  0.125
N  0.625  0.125  0.375
N  0.875  0.875  0.875

The 10 most intense peaks (10 to 80 degrees two-theta), by angle:
2θ 22.71, intensity 12
2θ 26.29, intensity 10
2θ 29.45, intensity 12
2θ 39.88, intensity 100
2θ 42.14, intensity 57
2θ 44.30, intensity 29
2θ 50.35, intensity 18
2θ 70.86, intensity 32
2θ 75.50, intensity 24
2θ 77.03, intensity 8

This entry pairs a crystal structure of FeMo6Rh3N2 with its computed powder diffraction line list. Radiation: Cu Kα (weighted mean of Kα1 and Kα2). Structure: a DFT-relaxed cell (GGA-PBE, the Materials Project).
Intensities are scaled so that the largest is 100.

Crystal structure
Unit cell a=6.796 b=6.796 c=6.811 alpha=90.00 beta=90.07 gamma=90.00
Sites, in units of the cell vectors:
Fe  0.183  0.000  0.062
Fe  0.817  0.500  0.938
Mo  0.050  0.939  0.451
Mo  0.123  0.616  0.202
Mo  0.199  0.359  0.877
Mo  0.297  0.267  0.374
Mo  0.371  0.016  0.708
Mo  0.459  0.686  0.950
Mo  0.541  0.186  0.050
Mo  0.629  0.516  0.292
Mo  0.703  0.767  0.626
Mo  0.801  0.859  0.123
Mo  0.877  0.116  0.798
Mo  0.950  0.439  0.549
Rh  0.059  0.752  0.821
Rh  0.312  0.626  0.564
Rh  0.431  0.876  0.301
Rh  0.569  0.376  0.699
Rh  0.688  0.126  0.436
Rh  0.941  0.252  0.179
N  0.124  0.190  0.623
N  0.374  0.440  0.126
N  0.626  0.940  0.874
N  0.876  0.690  0.377

The 10 most intense peaks (10 to 80 degrees two-theta), by angle:
2θ 39.76, intensity 100
2θ 41.98, intensity 32
2θ 42.04, intensity 23
2θ 44.16, intensity 24
2θ 50.18, intensity 7
2θ 70.54, intensity 7
2θ 70.64, intensity 15
2θ 75.15, intensity 5
2θ 75.25, intensity 11
2θ 75.31, intensity 6